The following is a theoretical powder diffraction line list of SmDy2YEr5. It was derived from a structure optimized by DFT (GGA-PBE), using Cu Kα (λ = 1.5418 Å).
Peak positions follow from Bragg's law for the DFT cell and can differ from measured ones.

Principal peaks in the range 10° ≤ 2θ ≤ 90°, in order of rising 2θ:
Position (°2θ)  d_spacing  intensity  (hkl)
28.42  3.140  52  2 2 0
29.01  3.078  55  2 1 3
31.71  2.822  100  2 0 4
31.86  2.809  23  3 1 0
37.01  2.429  24  3 2 1
38.23  2.354  18  2 1 5
42.41  2.131  19  4 1 1
52.45  1.745  19  4 2 4
58.44  1.579  13  2 2 8
58.75  1.572  19  4 4 0

Crystal structure
Cell: 8.8815 8.8815 14.6155 Å, 90.00 90.00 90.00°
Space group I4/mcm (No. 140)
One atom of each set of equivalent atoms:
Sm 0.0000 0.0000 0.2500 [4 per cell]
Dy 0.1126 0.3874 0.0000 [8 per cell]
Y 0.0000 0.5000 0.2500 [4 per cell]
Er 0.0000 0.0000 0.0000 [4 per cell]
Er 0.2060 0.2940 0.3679 [16 per cell]